No. 1
The following is a simulated powder diffractogram of Nb2S4Br. It was derived from the GGA-PBE geometry in Alexandria, using CuKα.
Intensities are scaled so that the largest is 100.

Main lines, in order of falling intensity (2θ = 10–90°):
| h k l | two_theta | I (rel.) |
| --- | --- | --- |
| 2 5 1 | 46.3 | 100 |
| 2 1 1 | 30.1 | 98 |
| 0 1 1 | 15.7 | 86 |
| 2 2 2 | 41.1 | 84 |
| 1 2 1 | 23.6 | 79 |
| 2 0 2 | 38.5 | 74 |

```
data_Nb2S4Br
_chemical_formula_sum 'Nb8 S16 Br4'
_cell_length_a 6.989
_cell_length_b 12.780
_cell_length_c 6.301
_cell_angle_alpha 90.00
_cell_angle_beta 90.00
_cell_angle_gamma 90.00
_space_group_name_H-M_alt 'I m a 2'
_space_group_IT_number 46
loop_
_space_group_symop_operation_xyz
'x,y,z'
'-x,-y,z'
'-x+1/2,y,z'
'x+1/2,-y,z'
'x+1/2,y+1/2,z+1/2'
'-x+1/2,-y+1/2,z+1/2'
'-x,y+1/2,z+1/2'
'x,-y+1/2,z+1/2'
loop_
_atom_site_label
_atom_site_type_symbol
_atom_site_fract_x
_atom_site_fract_y
_atom_site_fract_z
Nb1 Nb 0.000 0.000 0.000
Nb2 Nb 0.250 0.195 0.579
S1 S 0.006 0.196 0.858
S2 S 0.250 0.006 0.707
S3 S 0.250 0.114 0.216
Br1 Br 0.250 0.612 0.733
```

---

No. 2
The following is a simulated powder diffractogram of NdCuSe2. It was derived from the GGA-PBE geometry in Alexandria, using CuKα.
Intensities are scaled so that the largest is 100.

Main lines, in order of falling intensity (2θ = 10–90°):
| h k l | two_theta | I (rel.) |
| --- | --- | --- |
| 2 1 -1 | 30.5 | 100 |
| 0 2 2 | 34.5 | 82 |
| 1 2 -1 | 29.3 | 63 |
| 1 1 1 | 22.5 | 61 |
| 1 1 2 | 31.9 | 58 |
| 1 3 0 | 38.4 | 37 |

```
data_NdCuSe2
_chemical_formula_sum 'Nd4 Cu4 Se8'
_cell_length_a 6.746
_cell_length_b 7.513
_cell_length_c 7.230
_cell_angle_alpha 90.00
_cell_angle_beta 96.47
_cell_angle_gamma 90.00
_space_group_name_H-M_alt 'P 1 21/c 1'
_space_group_IT_number 14
loop_
_space_group_symop_operation_xyz
'x,y,z'
'-x,-y,-z'
'-x,y+1/2,-z+1/2'
'x,-y+1/2,z+1/2'
loop_
_atom_site_label
_atom_site_type_symbol
_atom_site_fract_x
_atom_site_fract_y
_atom_site_fract_z
Nd1 Nd 0.193 0.045 0.299
Cu1 Cu 0.432 0.661 0.455
Se1 Se 0.081 0.724 0.498
Se2 Se 0.402 0.112 0.721
```